Theoretical powder XRD pattern
Compound: Er3NiIr
Radiation: Cu Kα
Structure: a crystal structure in Alexandria, relaxed with GGA-PBE

Atomic structure:
Cell lengths 4.103, 8.782, 6.191 Å; angles 90.00, 90.00, 90.00 degrees
Space group Pmmn (No. 59, origin choice 2)
One atom of each set of equivalent atoms:
Er  0.250  0.055  0.233 [4 per cell]
Er  0.250  0.250  0.725 [2 per cell]
Ni  0.250  0.750  0.562 [2 per cell]
Ir  0.250  0.750  0.972 [2 per cell]

Peak list (10 most intense, 2θ from 10° to 90°, by intensity)
| 2θ (°) | I/Imax | (hkl) |
| --- | --- | --- |
| 33.20 | 100 | 1 2 1 |
| 37.80 | 98 | 1 1 2 |
| 33.87 | 32 | 0 3 1 |
| 65.16 | 31 | 1 5 2 |
| 44.15 | 29 | 2 0 0 |
| 35.48 | 19 | 0 2 2 |
| 54.39 | 18 | 0 3 3 |
| 72.55 | 17 | 2 3 3 |
| 56.78 | 15 | 2 3 1 |
| 14.31 | 14 | 0 0 1 |

Theoretical powder XRD pattern
Compound: Nd2DyIn4
Radiation: Cu Kα
Structure: a crystal structure in Alexandria, relaxed with GGA-PBE

Atomic structure:
Cell lengths 5.309, 5.309, 14.966 Å; angles 90.00, 90.00, 90.00 degrees
Space group I4/mmm (No. 139)
One atom of each set of equivalent atoms:
Nd  0.000  0.000  0.248 [4 per cell]
Dy  0.000  0.000  0.500 [2 per cell]
In  0.000  0.500  0.110 [8 per cell]

Peak list (10 most intense, 2θ from 10° to 90°, by intensity)
| 2θ (°) | I/Imax | (hkl) |
| --- | --- | --- |
| 33.80 | 100 | 2 0 0 |
| 60.44 | 24 | 3 1 4 |
| 48.50 | 13 | 2 2 0 |
| 81.01 | 11 | 4 2 0 |
| 17.73 | 10 | 1 0 1 |
| 60.55 | 9 | 2 0 8 |
| 26.57 | 7 | 1 1 2 |
| 71.16 | 6 | 2 2 8 |
| 24.49 | 5 | 1 0 3 |
| 48.67 | 5 | 0 0 8 |